Entry 1:
# Ca4AlGa2
Simulated powder diffractogram, λ = 1.5418 Å (Cu Kα). Input: a DFT-relaxed cell (GGA-PBE, Alexandria).

Structural model:
```
data_Ca4AlGa2
_chemical_formula_sum 'Ca12 Al3 Ga6'
_cell_length_a 5.1700
_cell_length_b 5.1700
_cell_length_c 25.4912
_cell_angle_alpha 90.00
_cell_angle_beta 90.00
_cell_angle_gamma 120.00
_space_group_name_H-M_alt 'R -3 m'
_space_group_IT_number 166
_space_group_name_Hall '-R 3 2"'
loop_
_atom_site_label
_atom_site_fract_x
_atom_site_fract_y
_atom_site_fract_z
Ca1 0.0000 0.0000 0.1225
Ca2 0.0000 0.0000 0.3737
Al1 0.0000 0.0000 0.5000
Ga1 0.0000 0.0000 0.2458
```

Most intense lines, 2θ = 5–70°, by angle:
| (hkl) | 2θ/deg | d (Å) | I (rel.) |
| --- | --- | --- | --- |
| 0 0 3 | 10.4 | 8.497 | 7 |
| 0 0 6 | 20.9 | 4.249 | 15 |
| 0 1 2 | 21.0 | 4.224 | 42 |
| 0 1 8 | 34.5 | 2.596 | 99 |
| 1 1 0 | 34.7 | 2.585 | 100 |
| 1 1 6 | 40.9 | 2.207 | 24 |
| 2 0 8 | 49.8 | 1.832 | 33 |
| 1 0 16 | 61.8 | 1.501 | 15 |
| 3 0 0 | 62.1 | 1.494 | 49 |
| 3 0 6 | 66.3 | 1.409 | 6 |

Entry 2:
# Ca3Al2Ga9
Simulated powder diffractogram, λ = 1.5418 Å (Cu Kα). Input: a DFT-relaxed cell (GGA-PBE, Alexandria).

Structural model:
```
data_Ca3Al2Ga9
_chemical_formula_sum 'Ca6 Al4 Ga18'
_cell_length_a 4.283
_cell_length_b 10.269
_cell_length_c 12.827
_cell_angle_alpha 90.00
_cell_angle_beta 90.00
_cell_angle_gamma 90.00
_space_group_name_H-M_alt 'I m m m'
_space_group_IT_number 71
_space_group_name_Hall '-I 2 2'
loop_
_atom_site_label
_atom_site_fract_x
_atom_site_fract_y
_atom_site_fract_z
Ca1 0.000 0.000 0.000
Ca2 0.000 0.000 0.314
Al1 0.000 0.211 0.500
Ga1 0.000 0.277 0.145
Ga2 0.000 0.375 0.339
Ga3 0.000 0.500 0.000
```

Most intense lines, 2θ = 5–70°, by angle:
| (hkl) | 2θ/deg | d (Å) | I (rel.) |
| --- | --- | --- | --- |
| 1 1 0 | 22.5 | 3.951 | 30 |
| 0 2 4 | 32.9 | 2.720 | 22 |
| 1 3 0 | 33.5 | 2.674 | 35 |
| 1 2 3 | 34.4 | 2.607 | 100 |
| 1 3 2 | 36.4 | 2.468 | 22 |
| 1 4 1 | 41.6 | 2.170 | 29 |
| 2 0 0 | 42.2 | 2.140 | 70 |
| 1 3 4 | 44.1 | 2.054 | 24 |
| 1 4 3 | 46.4 | 1.958 | 20 |
| 2 0 6 | 61.3 | 1.513 | 19 |

Entry 3:
# Ca3Al2Ga3
Simulated powder diffractogram, λ = 1.5418 Å (Cu Kα). Input: a DFT-relaxed cell (GGA-PBE, Alexandria).

Structural model:
```
data_Ca3Al2Ga3
_chemical_formula_sum 'Ca12 Al8 Ga12'
_cell_length_a 4.494
_cell_length_b 10.991
_cell_length_c 14.942
_cell_angle_alpha 90.00
_cell_angle_beta 90.00
_cell_angle_gamma 90.00
_space_group_name_H-M_alt 'C m c m'
_space_group_IT_number 63
_space_group_name_Hall '-C 2c 2'
loop_
_atom_site_label
_atom_site_fract_x
_atom_site_fract_y
_atom_site_fract_z
Ca1 0.000 0.083 0.112
Ca2 0.000 0.369 0.250
Al1 0.000 0.212 0.594
Ga1 0.000 0.335 0.750
Ga2 0.000 0.388 0.036
```

Most intense lines, 2θ = 5–70°, by angle:
| (hkl) | 2θ/deg | d (Å) | I (rel.) |
| --- | --- | --- | --- |
| 1 1 0 | 21.4 | 4.160 | 25 |
| 1 1 3 | 27.9 | 3.193 | 18 |
| 1 3 0 | 31.5 | 2.840 | 25 |
| 1 3 1 | 32.1 | 2.790 | 37 |
| 1 1 4 | 32.2 | 2.779 | 100 |
| 0 4 0 | 32.6 | 2.748 | 28 |
| 1 3 3 | 36.4 | 2.467 | 44 |
| 1 3 4 | 39.9 | 2.261 | 38 |
| 2 0 0 | 40.1 | 2.247 | 47 |
| 0 2 7 | 45.6 | 1.990 | 19 |

Entry 4:
# CaAl2Ga4
Simulated powder diffractogram, λ = 1.5418 Å (Cu Kα). Input: a DFT-relaxed cell (GGA-PBE, Alexandria).

Structural model:
```
data_CaAl2Ga4
_chemical_formula_sum 'Ca4 Al8 Ga16'
_cell_length_a 15.783
_cell_length_b 6.028
_cell_length_c 5.982
_cell_angle_alpha 90.00
_cell_angle_beta 91.38
_cell_angle_gamma 90.00
_space_group_name_H-M_alt 'C 1 2/c 1'
_space_group_IT_number 15
loop_
_space_group_symop_operation_xyz
'x,y,z'
'-x,-y,-z'
'-x,y,-z+1/2'
'x,-y,z+1/2'
'x+1/2,y+1/2,z'
'-x+1/2,-y+1/2,-z'
'-x+1/2,y+1/2,-z+1/2'
'x+1/2,-y+1/2,z+1/2'
loop_
_atom_site_label
_atom_site_fract_x
_atom_site_fract_y
_atom_site_fract_z
Ca1 0.000 0.250 0.250
Al1 0.173 0.007 0.513
Ga1 0.078 0.248 0.757
Ga2 0.170 0.471 0.051
```

Most intense lines, 2θ = 5–70°, by angle:
| (hkl) | 2θ/deg | d (Å) | I (rel.) |
| --- | --- | --- | --- |
| 1 1 -1 | 21.6 | 4.117 | 46 |
| 3 1 0 | 22.4 | 3.963 | 30 |
| 2 2 0 | 31.8 | 2.816 | 100 |
| 2 0 2 | 32.3 | 2.774 | 63 |
| 5 1 -1 | 35.1 | 2.554 | 40 |
| 5 1 1 | 35.7 | 2.512 | 25 |
| 0 2 2 | 42.6 | 2.123 | 86 |
| 6 0 -2 | 45.4 | 1.999 | 23 |
| 6 2 0 | 45.8 | 1.982 | 48 |
| 7 1 1 | 45.9 | 1.977 | 23 |

Entry 5:
# Ca2Al2Ga
Simulated powder diffractogram, λ = 1.5418 Å (Cu Kα). Input: a DFT-relaxed cell (GGA-PBE, Alexandria).

Structural model:
```
data_Ca2Al2Ga
_chemical_formula_sum 'Ca4 Al4 Ga2'
_cell_length_a 3.561
_cell_length_b 4.507
_cell_length_c 14.554
_cell_angle_alpha 90.00
_cell_angle_beta 90.00
_cell_angle_gamma 90.00
_space_group_name_H-M_alt 'A m m 2'
_space_group_IT_number 38
loop_
_space_group_symop_operation_xyz
'x,y,z'
'-x,-y,z'
'-x,y,z'
'x,-y,z'
'x,y+1/2,z+1/2'
'-x,-y+1/2,z+1/2'
'-x,y+1/2,z+1/2'
'x,-y+1/2,z+1/2'
loop_
_atom_site_label
_atom_site_fract_x
_atom_site_fract_y
_atom_site_fract_z
Ca1 0.000 0.000 0.000
Ca2 0.000 0.000 0.231
Al1 0.500 0.000 0.617
Al2 0.500 0.000 0.817
Ga1 0.500 0.000 0.415
```

Most intense lines, 2θ = 5–70°, by angle:
| (hkl) | 2θ/deg | d (Å) | I (rel.) |
| --- | --- | --- | --- |
| 0 0 2 | 12.2 | 7.277 | 40 |
| 0 1 1 | 20.6 | 4.305 | 18 |
| 1 0 2 | 27.9 | 3.198 | 23 |
| 1 1 1 | 32.6 | 2.744 | 100 |
| 1 0 4 | 35.3 | 2.545 | 55 |
| 0 1 5 | 36.8 | 2.445 | 89 |
| 1 1 3 | 37.1 | 2.421 | 49 |
| 0 2 0 | 40.0 | 2.253 | 38 |
| 1 2 4 | 54.4 | 1.687 | 29 |
| 2 1 5 | 64.8 | 1.439 | 31 |

Entry 6:
# Ca2Al4Ga3Hg
Simulated powder diffractogram, λ = 1.5418 Å (Cu Kα). Input: a DFT-relaxed cell (GGA-PBE, Alexandria).

Structural model:
```
data_Ca2Al4Ga3Hg
_chemical_formula_sum 'Ca2 Al4 Ga3 Hg1'
_cell_length_a 4.385
_cell_length_b 4.385
_cell_length_c 11.013
_cell_angle_alpha 90.00
_cell_angle_beta 90.00
_cell_angle_gamma 90.00
_space_group_name_H-M_alt 'P -4 m 2'
_space_group_IT_number 115
loop_
_space_group_symop_operation_xyz
'x,y,z'
'y,-x,-z'
'-x,-y,z'
'-y,x,-z'
'-x,y,z'
'-y,-x,-z'
'x,-y,z'
'y,x,-z'
loop_
_atom_site_label
_atom_site_fract_x
_atom_site_fract_y
_atom_site_fract_z
Ca1 0.000 0.500 0.249
Al1 0.000 0.000 0.000
Al2 0.000 0.500 0.638
Al3 0.500 0.500 0.000
Ga1 0.000 0.500 0.866
Ga2 0.500 0.500 0.500
Hg1 0.000 0.000 0.500
```

Most intense lines, 2θ = 5–70°, by angle:
| (hkl) | 2θ/deg | d (Å) | I (rel.) |
| --- | --- | --- | --- |
| 0 0 1 | 8.0 | 11.013 | 72 |
| 0 0 2 | 16.1 | 5.507 | 33 |
| 1 0 1 | 21.8 | 4.074 | 29 |
| 0 0 3 | 24.2 | 3.671 | 24 |
| 1 0 2 | 26.0 | 3.430 | 23 |
| 1 1 1 | 29.9 | 2.984 | 54 |
| 1 0 3 | 31.8 | 2.815 | 32 |
| 1 1 2 | 33.2 | 2.702 | 100 |
| 2 0 0 | 41.2 | 2.192 | 53 |
| 1 1 4 | 44.0 | 2.059 | 46 |